# RbLi2WF8
Computed powder diffraction line list, Cu Kα (weighted mean of Kα1 and Kα2). Input: a PBE+U-relaxed structure.

Lattice parameters (Å, degrees): 8.210 8.210 8.210 39.40 39.40 39.40
Atoms (fractional coordinates):
Rb1 0.000 0.000 0.000
Li1 0.265 0.265 0.265
Li2 0.735 0.735 0.735
W1 0.500 0.500 0.500
F1 0.116 0.622 0.622
F2 0.341 0.341 0.341
F3 0.378 0.378 0.884
F4 0.378 0.884 0.378
F5 0.622 0.116 0.622
F6 0.622 0.622 0.116
F7 0.659 0.659 0.659
F8 0.884 0.378 0.378

Principal peaks in the range 15° ≤ 2θ ≤ 90°, sorted by position:
2θ/deg, intensity
18.9, 45
20.1, 100
23.5, 32
24.3, 99
32.4, 43
38.4, 22
40.4, 56
49.8, 23
53.1, 23
59.2, 24